Theoretical PXRD pattern
Compound: Ba4Pt
Radiation: a wavelength of 1.5418 Å
Structure: a cell relaxed with PBE
Peak positions follow from Bragg's law for the DFT cell and can differ from measured ones.

Principal peaks in the range 10° ≤ 2θ ≤ 80°, sorted by position:
2θ = 11.3°, d = 7.836 Å, intensity 277
2θ = 18.5°, d = 4.798 Å, intensity 315
2θ = 22.7°, d = 3.918 Å, intensity 1000
2θ = 26.3°, d = 3.393 Å, intensity 214
2θ = 37.5°, d = 2.399 Å, intensity 757
2θ = 44.3°, d = 2.046 Å, intensity 504
2θ = 59.4°, d = 1.557 Å, intensity 210
2θ = 67.6°, d = 1.385 Å, intensity 269

Lattice parameters (Å, degrees): 9.597 9.597 9.597 60.00 60.00 60.00
Element x y z (fractional)
Ba (0.246, 0.751, 0.751)
Ba (0.249, 0.249, 0.249)
Ba (0.249, 0.249, 0.754)
Ba (0.249, 0.754, 0.249)
Ba (0.751, 0.246, 0.751)
Ba (0.751, 0.751, 0.246)
Ba (0.751, 0.751, 0.751)
Ba (0.754, 0.249, 0.249)
Pt (0.375, 0.375, 0.375)
Pt (0.625, 0.625, 0.625)

=====

Theoretical PXRD pattern
Compound: Mg5Bi
Radiation: a wavelength of 1.5418 Å
Structure: a cell relaxed with PBE
Peak positions follow from Bragg's law for the DFT cell and can differ from measured ones.

Principal peaks in the range 10° ≤ 2θ ≤ 80°, sorted by position:
2θ = 17.6°, d = 5.043 Å, intensity 1000
2θ = 24.9°, d = 3.569 Å, intensity 725
2θ = 30.7°, d = 2.909 Å, intensity 340
2θ = 35.6°, d = 2.523 Å, intensity 976
2θ = 39.9°, d = 2.257 Å, intensity 398
2θ = 47.7°, d = 1.907 Å, intensity 337
2θ = 51.2°, d = 1.783 Å, intensity 323
2θ = 66.9°, d = 1.399 Å, intensity 201

Lattice parameters (Å, degrees): 5.818 5.818 5.056 90.00 90.00 120.00
Element x y z (fractional)
Mg (0.000, 0.347, 0.000)
Mg (0.333, 0.667, 0.500)
Mg (0.347, 0.000, 0.000)
Mg (0.653, 0.653, 0.000)
Mg (0.667, 0.333, 0.500)
Bi (0.000, 0.000, 0.500)

=====

Theoretical PXRD pattern
Compound: Sc5Ga3
Radiation: a wavelength of 1.5418 Å
Structure: a cell relaxed with PBE
Peak positions follow from Bragg's law for the DFT cell and can differ from measured ones.

Principal peaks in the range 10° ≤ 2θ ≤ 80°, sorted by position:
2θ = 30.0°, d = 2.977 Å, intensity 290
2θ = 33.7°, d = 2.656 Å, intensity 210
2θ = 37.1°, d = 2.425 Å, intensity 1000
2θ = 37.5°, d = 2.400 Å, intensity 682
2θ = 38.4°, d = 2.342 Å, intensity 359
2θ = 49.2°, d = 1.852 Å, intensity 259
2θ = 58.0°, d = 1.590 Å, intensity 250
2θ = 74.7°, d = 1.271 Å, intensity 178

Lattice parameters (Å, degrees): 8.114 8.114 5.953 90.00 90.00 120.00
Element x y z (fractional)
Sc (0.000, 0.241, 0.250)
Sc (0.000, 0.759, 0.750)
Sc (0.241, 0.000, 0.250)
Sc (0.241, 0.241, 0.750)
Sc (0.333, 0.667, 0.000)
Sc (0.333, 0.667, 0.500)
Sc (0.667, 0.333, 0.000)
Sc (0.667, 0.333, 0.500)
Sc (0.759, 0.000, 0.750)
Sc (0.759, 0.759, 0.250)
Ga (0.000, 0.399, 0.750)
Ga (0.000, 0.601, 0.250)
Ga (0.399, 0.000, 0.750)
Ga (0.399, 0.399, 0.250)
Ga (0.601, 0.000, 0.250)
Ga (0.601, 0.601, 0.750)

=====

Theoretical PXRD pattern
Compound: Sr4Cl6O
Radiation: a wavelength of 1.5418 Å
Structure: a cell relaxed with PBE
Peak positions follow from Bragg's law for the DFT cell and can differ from measured ones.

Principal peaks in the range 10° ≤ 2θ ≤ 80°, sorted by position:
2θ = 10.7°, d = 8.293 Å, intensity 422
2θ = 24.4°, d = 3.653 Å, intensity 359
2θ = 24.7°, d = 3.606 Å, intensity 1000
2θ = 31.0°, d = 2.881 Å, intensity 686
2θ = 32.7°, d = 2.741 Å, intensity 961
2θ = 34.7°, d = 2.586 Å, intensity 715
2θ = 37.6°, d = 2.394 Å, intensity 749
2θ = 43.1°, d = 2.100 Å, intensity 439

Lattice parameters (Å, degrees): 9.576 9.576 7.307 90.00 90.00 120.00
Element x y z (fractional)
Sr (0.197, 0.394, 0.000)
Sr (0.197, 0.803, 0.000)
Sr (0.333, 0.667, 0.431)
Sr (0.394, 0.197, 0.500)
Sr (0.606, 0.803, 0.000)
Sr (0.667, 0.333, 0.931)
Sr (0.803, 0.197, 0.500)
Sr (0.803, 0.606, 0.500)
Cl (0.070, 0.535, 0.712)
Cl (0.141, 0.283, 0.388)
Cl (0.141, 0.859, 0.388)
Cl (0.283, 0.141, 0.888)
Cl (0.465, 0.535, 0.712)
Cl (0.465, 0.930, 0.712)
Cl (0.535, 0.070, 0.212)
Cl (0.535, 0.465, 0.212)
Cl (0.717, 0.859, 0.388)
Cl (0.859, 0.141, 0.888)
Cl (0.859, 0.717, 0.888)
Cl (0.930, 0.465, 0.212)
O (0.333, 0.667, 0.106)
O (0.667, 0.333, 0.606)

=====

Theoretical PXRD pattern
Compound: Ta3Cu2S6
Radiation: a wavelength of 1.5418 Å
Structure: a cell relaxed with PBE
Peak positions follow from Bragg's law for the DFT cell and can differ from measured ones.

Principal peaks in the range 10° ≤ 2θ ≤ 80°, sorted by position:
2θ = 12.7°, d = 6.957 Å, intensity 1000
2θ = 30.7°, d = 2.908 Å, intensity 377
2θ = 31.4°, d = 2.847 Å, intensity 495
2θ = 33.4°, d = 2.683 Å, intensity 168
2θ = 36.5°, d = 2.464 Å, intensity 489
2θ = 45.1°, d = 2.011 Å, intensity 584
2θ = 54.7°, d = 1.679 Å, intensity 276
2θ = 73.5°, d = 1.289 Å, intensity 150

Lattice parameters (Å, degrees): 3.358 3.358 41.742 90.00 90.00 120.00
Element x y z (fractional)
Ta (0.000, 0.000, 0.000)
Ta (0.000, 0.000, 0.323)
Ta (0.000, 0.000, 0.656)
Ta (0.333, 0.667, 0.162)
Ta (0.333, 0.667, 0.495)
Ta (0.333, 0.667, 0.819)
Cu (0.000, 0.000, 0.929)
Cu (0.333, 0.667, 0.233)
Cu (0.333, 0.667, 0.566)
Cu (0.333, 0.667, 0.889)
S (0.000, 0.000, 0.125)
S (0.000, 0.000, 0.200)
S (0.000, 0.000, 0.458)
S (0.000, 0.000, 0.533)
S (0.000, 0.000, 0.782)
S (0.000, 0.000, 0.856)
S (0.333, 0.667, 0.037)
S (0.333, 0.667, 0.286)
S (0.333, 0.667, 0.359)
S (0.333, 0.667, 0.619)
S (0.333, 0.667, 0.693)
S (0.333, 0.667, 0.962)

=====

Theoretical PXRD pattern
Compound: TiSeS
Radiation: a wavelength of 1.5418 Å
Structure: a cell relaxed with PBE
Peak positions follow from Bragg's law for the DFT cell and can differ from measured ones.

Principal peaks in the range 10° ≤ 2θ ≤ 80°, sorted by position:
2θ = 13.7°, d = 6.461 Å, intensity 647
2θ = 32.7°, d = 2.736 Å, intensity 1000
2θ = 40.9°, d = 2.206 Å, intensity 558
2θ = 52.2°, d = 1.753 Å, intensity 265
2θ = 52.5°, d = 1.743 Å, intensity 262
2θ = 54.5°, d = 1.683 Å, intensity 102
2θ = 63.3°, d = 1.470 Å, intensity 137
2θ = 68.6°, d = 1.368 Å, intensity 112

Lattice parameters (Å, degrees): 3.487 3.487 6.461 90.00 90.00 120.00
Element x y z (fractional)
Ti (0.000, 0.000, 0.000)
Se (0.333, 0.667, 0.251)
S (0.667, 0.333, 0.793)

=====

Theoretical PXRD pattern
Compound: NaSrCeBiO6
Radiation: a wavelength of 1.5418 Å
Structure: a cell relaxed with PBE
Peak positions follow from Bragg's law for the DFT cell and can differ from measured ones.

Principal peaks in the range 10° ≤ 2θ ≤ 80°, sorted by position:
2θ = 17.8°, d = 4.986 Å, intensity 105
2θ = 20.6°, d = 4.318 Å, intensity 470
2θ = 29.3°, d = 3.053 Å, intensity 1000
2θ = 41.8°, d = 2.159 Å, intensity 325
2θ = 47.1°, d = 1.931 Å, intensity 215
2θ = 51.9°, d = 1.763 Å, intensity 422
2θ = 60.7°, d = 1.526 Å, intensity 205
2θ = 68.8°, d = 1.365 Å, intensity 186

Lattice parameters (Å, degrees): 6.106 6.106 6.106 60.00 60.00 60.00
Element x y z (fractional)
Na (0.000, 0.000, 0.000)
Sr (0.500, 0.500, 0.500)
Ce (0.250, 0.250, 0.250)
Bi (0.750, 0.750, 0.750)
O (0.505, 0.505, 0.995)
O (0.505, 0.995, 0.505)
O (0.505, 0.995, 0.995)
O (0.995, 0.505, 0.505)
O (0.995, 0.505, 0.995)
O (0.995, 0.995, 0.505)

=====

Question: What is the formula in the fifth record?
Answer: Ta3Cu2S6